ErWBrO4: calculated XRD peak list (Cu Kα (λ = 1.5418 Å)), based on a structure optimized by DFT (GGA+U).

Principal peaks in the range 5 to 70 degrees two-theta, most intense first:
24.6 deg, I = 100
27.4 deg, I = 60
25.9 deg, I = 49
30.0 deg, I = 34
13.6 deg, I = 29
33.1 deg, I = 26
29.8 deg, I = 22
36.2 deg, I = 21
38.0 deg, I = 19
35.2 deg, I = 17

Structure:
```
ErWBrO4
1.0
7.0083 0.0000 0.0000
0.6666 7.2753 0.0000
3.3603 2.5856 10.0878
Er W Br O
4 4 4 16
Cartesian
1.3985 1.3844 2.7253
3.9921 5.4661 2.3746
7.0431 4.3948 7.7132
9.6367 8.4765 7.3626
3.2968 4.6574 6.2880
6.3441 8.1717 8.7477
4.6911 1.6892 1.3402
7.7384 5.2035 3.7999
4.9651 4.5141 9.9761
3.3985 1.5280 4.8836
7.6368 8.3329 5.2043
6.0701 5.3468 0.1118
2.9699 6.2737 7.0189
1.8597 6.4116 2.9142
3.2710 4.8557 4.4613
4.7236 8.5379 8.0599
2.8319 5.5040 0.4502
5.0017 4.2857 6.7252
4.1392 7.7073 1.9819
4.1489 3.2820 1.9998
6.8863 6.5789 8.0881
6.8960 2.1536 8.1059
6.0335 5.5752 3.3627
8.2033 4.3569 9.6377
6.3116 1.3230 2.0279
7.7642 5.0052 5.6266
9.1755 3.4493 7.1736
8.0653 3.5872 3.0689
```